No. 1
Structure and calculated X-ray powder pattern of CaHoSb2O6 (a DFT-relaxed cell (GGA-PBE, the Materials Project); Cu Kα, 1.54184 Å).
No peak broadening, texture or thermal motion is included.

Cell lengths 8.3155, 5.9881, 5.6701 Å; angles 90.00, 90.00, 90.00 degrees
Space group Pmn2_1 (No. 31)
Unique sites:
Ca (0.0000, 0.1986, 0.0000)
Ho (0.0000, 0.6833, 0.5374)
Sb (0.2498, 0.2461, 0.5102)
O (0.0000, 0.3228, 0.3856)
O (0.0000, 0.8112, 0.1638)
O (0.1760, 0.4569, 0.8070)
O (0.1809, 0.9263, 0.6826)

Main lines, low angle first (10° ≤ 2θ ≤ 90°):
2θ = 18.26°, rel. 13, (1 1 0)
2θ = 18.94°, rel. 16, (1 0 1)
2θ = 29.84°, rel. 21, (0 2 0)
2θ = 30.56°, rel. 100, (2 1 1)
2θ = 31.56°, rel. 21, (0 0 2)
2θ = 43.53°, rel. 12, (4 0 0)
2θ = 43.99°, rel. 19, (0 2 2)
2θ = 53.42°, rel. 13, (2 3 1)
2θ = 54.75°, rel. 11, (4 0 2)
2θ = 55.58°, rel. 24, (2 1 3)


No. 2
Structure and calculated X-ray powder pattern of LaTaN3 (a DFT-relaxed cell (GGA-PBE, the Materials Project); Cu Kα, 1.54184 Å).
No peak broadening, texture or thermal motion is included.

Cell lengths 7.1164, 5.7632, 8.3328 Å; angles 90.00, 125.66, 90.00 degrees
Space group P2_1/c (No. 14)
Unique sites:
La (0.2392, 0.2445, 0.1227)
Ta (0.2280, 0.7256, 0.3588)
N (0.0615, 0.0367, 0.2914)
N (0.2694, 0.7342, 0.6367)
N (0.4209, 0.0993, 0.9621)

Main lines, low angle first (10° ≤ 2θ ≤ 90°):
2θ = 30.66°, rel. 100, (2 1 -2)
2θ = 30.93°, rel. 26, (2 0 0)
2θ = 31.03°, rel. 26, (0 2 0)
2θ = 43.44°, rel. 14, (2 0 -4)
2θ = 44.39°, rel. 22, (2 2 0)
2θ = 54.35°, rel. 16, (4 0 -4)
2θ = 54.79°, rel. 10, (2 1 2)
2θ = 54.96°, rel. 29, (4 1 -2)
2θ = 63.93°, rel. 8, (4 2 -4)
2θ = 73.25°, rel. 7, (4 2 0)


No. 3
Structure and calculated X-ray powder pattern of Fe3N (a DFT-relaxed cell (GGA-PBE, the Materials Project); Cu Kα, 1.54184 Å).
No peak broadening, texture or thermal motion is included.

Cell lengths 4.9405, 7.0703, 4.4710 Å; angles 90.00, 90.00, 90.00 degrees
Space group Pnma (No. 62)
Unique sites:
Fe (0.0563, 0.2500, 0.1845)
Fe (0.1729, 0.0756, 0.6864)
N (0.1170, 0.7500, 0.4330)

Main lines, low angle first (10° ≤ 2θ ≤ 90°):
2θ = 38.61°, rel. 28, (2 1 0)
2θ = 40.35°, rel. 33, (0 0 2)
2θ = 43.40°, rel. 100, (0 3 1)
2θ = 43.78°, rel. 38, (2 1 1)
2θ = 44.48°, rel. 26, (1 0 2)
2θ = 44.76°, rel. 27, (2 2 0)
2θ = 46.40°, rel. 28, (1 1 2)
2θ = 47.32°, rel. 19, (1 3 1)
2θ = 49.41°, rel. 46, (2 2 1)
2θ = 78.34°, rel. 16, (1 3 3)


No. 4
Structure and calculated X-ray powder pattern of Pr3B2N4 (a DFT-relaxed cell (GGA-PBE, the Materials Project); Cu Kα, 1.54184 Å).
No peak broadening, texture or thermal motion is included.

Cell lengths 3.5963, 6.3555, 10.9289 Å; angles 90.00, 90.00, 90.00 degrees
Space group Immm (No. 71)
Unique sites:
Pr (0.0000, 0.0000, 0.0000)
Pr (0.0000, 0.5000, 0.2019)
B (0.0000, 0.1429, 0.5000)
N (0.0000, 0.2553, 0.3818)

Main lines, low angle first (10° ≤ 2θ ≤ 90°):
2θ = 26.09°, rel. 17, (1 0 1)
2θ = 28.08°, rel. 34, (0 2 0)
2θ = 28.24°, rel. 63, (0 1 3)
2θ = 32.98°, rel. 100, (1 1 2)
2θ = 38.70°, rel. 31, (1 2 1)
2θ = 48.75°, rel. 23, (1 0 5)
2θ = 49.79°, rel. 15, (0 3 3)
2θ = 52.88°, rel. 23, (1 3 2)
2θ = 57.21°, rel. 21, (1 2 5)
2θ = 59.08°, rel. 25, (2 2 0)


No. 5
Structure and calculated X-ray powder pattern of BaAg2 (a DFT-relaxed cell (GGA-PBE, the Materials Project); Cu Kα, 1.54184 Å).
No peak broadening, texture or thermal motion is included.

Cell lengths 5.0631, 8.2620, 8.5107 Å; angles 90.00, 90.00, 90.00 degrees
Space group Imma (No. 74)
Unique sites:
Ba (0.0000, 0.2500, 0.0393)
Ag (0.0000, 0.0535, 0.6643)

Main lines, low angle first (10° ≤ 2θ ≤ 90°):
2θ = 29.47°, rel. 35, (1 1 2)
2θ = 29.82°, rel. 100, (1 2 1)
2θ = 30.15°, rel. 41, (0 2 2)
2θ = 34.22°, rel. 28, (0 3 1)
2θ = 35.46°, rel. 42, (2 0 0)
2θ = 36.30°, rel. 64, (1 0 3)
2θ = 47.22°, rel. 23, (2 2 2)
2θ = 50.10°, rel. 18, (2 3 1)
2θ = 57.70°, rel. 22, (1 3 4)
2θ = 63.09°, rel. 16, (1 5 2)


No. 6
Structure and calculated X-ray powder pattern of DySiIr (a DFT-relaxed cell (GGA-PBE, the Materials Project); Cu Kα, 1.54184 Å).
No peak broadening, texture or thermal motion is included.

Cell lengths 6.8849, 4.2493, 7.4192 Å; angles 90.00, 90.00, 90.00 degrees
Space group Pnma (No. 62)
Unique sites:
Dy (0.0003, 0.2500, 0.1870)
Si (0.2015, 0.2500, 0.6082)
Ir (0.1568, 0.7500, 0.4304)

Main lines, low angle first (10° ≤ 2θ ≤ 90°):
2θ = 27.44°, rel. 65, (1 1 1)
2θ = 33.50°, rel. 33, (2 1 0)
2θ = 34.64°, rel. 100, (1 1 2)
2θ = 35.58°, rel. 31, (2 0 2)
2θ = 35.68°, rel. 85, (2 1 1)
2θ = 41.17°, rel. 47, (3 0 1)
2θ = 42.28°, rel. 51, (0 1 3)
2θ = 42.55°, rel. 49, (0 2 0)
2θ = 59.22°, rel. 31, (4 1 1)
2θ = 68.72°, rel. 42, (3 1 4)


No. 7
Structure and calculated X-ray powder pattern of YCo3B2 (a DFT-relaxed cell (GGA-PBE, the Materials Project); Cu Kα, 1.54184 Å).
No peak broadening, texture or thermal motion is included.

Cell lengths 5.0217, 5.0217, 3.0059 Å; angles 90.00, 90.00, 120.00 degrees
Space group P6/mmm (No. 191)
Unique sites:
Y (0.0000, 0.0000, 0.0000)
Co (0.0000, 0.5000, 0.5000)
B (0.3333, 0.6667, 0.0000)

Main lines, low angle first (10° ≤ 2θ ≤ 90°):
2θ = 36.33°, rel. 85, (1 0 1)
2θ = 41.53°, rel. 100, (2 0 0)
2θ = 47.16°, rel. 52, (1 1 1)
2θ = 51.90°, rel. 14, (2 0 1)
2θ = 61.72°, rel. 11, (0 0 2)
2θ = 64.63°, rel. 30, (2 1 1)
2θ = 72.37°, rel. 14, (3 0 1)
2θ = 75.77°, rel. 18, (2 2 0)
2θ = 77.15°, rel. 29, (2 0 2)
2θ = 87.05°, rel. 13, (3 1 1)